For Pm2HoIr, DFT lattice parameters and positions (PBE) gives the simulated powder XRD pattern in this record (a wavelength of 1.5418 Å).
Intensities are scaled so that the largest is 100.

Top 6 peaks for 15 to 90 degrees two-theta, sorted by position:
d_spacing  Rel. int.  h k l
3.011  51  2 1 1
2.917  61  2 2 0
2.895  77  0 3 1
2.807  100  1 1 2
2.691  84  1 3 1
2.654  75  2 2 1

Atomic structure:
abc: 7.285 9.738 6.404
angles: 90.00 90.00 90.00
Space group Pnma (No. 62)
One atom of each set of equivalent atoms:
Pm  0.179  0.065  0.174 x8
Ho  0.038  0.250  0.646 x4
Ir  0.119  0.750  0.954 x4

For PmHo5Ir6, DFT lattice parameters and positions (PBE) gives the simulated powder XRD pattern in this record (a wavelength of 1.5418 Å).
Intensities are scaled so that the largest is 100.

Top 6 peaks for 15 to 90 degrees two-theta, sorted by position:
d_spacing  Rel. int.  h k l
2.448  100  1 2 1
2.371  46  0 0 3
1.676  16  2 0 2
1.430  19  0 4 3
1.384  25  3 2 0
1.224  11  2 4 2

Atomic structure:
abc: 4.738 7.167 7.499
angles: 90.00 108.34 90.00
Space group P2/m (No. 10)
One atom of each set of equivalent atoms:
Pm  0.000  0.000  0.000 x1
Ho  0.000  0.500  0.000 x1
Ho  0.332  0.000  0.665 x2
Ho  0.333  0.500  0.666 x2
Ir  0.168  0.253  0.337 x4
Ir  0.500  0.256  0.000 x2

For PmHo8Ir6, DFT lattice parameters and positions (PBE) gives the simulated powder XRD pattern in this record (a wavelength of 1.5418 Å).
Intensities are scaled so that the largest is 100.

Top 6 peaks for 15 to 90 degrees two-theta, sorted by position:
d_spacing  Rel. int.  h k l
4.145  19  1 1 0
2.422  100  2 -1 6
2.393  93  3 0 0
1.702  35  2 2 6
1.404  18  1 1 12
1.387  35  5 -1 6

Atomic structure:
abc: 8.2899 8.2899 17.9080
angles: 90.00 90.00 120.00
Space group R-3 (No. 148, hexagonal axes)
One atom of each set of equivalent atoms:
Pm  0.0000  0.0000  0.0000 x3
Ho  0.0000  0.0000  0.3346 x6
Ho  0.0030  0.3308  0.2211 x18
Ir  0.0004  0.3359  0.0574 x18

For Pm4HoIr3, DFT lattice parameters and positions (PBE) gives the simulated powder XRD pattern in this record (a wavelength of 1.5418 Å).
Intensities are scaled so that the largest is 100.

Top 6 peaks for 15 to 90 degrees two-theta, sorted by position:
d_spacing  Rel. int.  h k l
2.786  81  3 2 1
2.705  69  2 0 2
2.518  72  4 2 0
2.497  100  4 1 1
2.438  50  2 2 2
2.079  38  4 0 2

Atomic structure:
abc: 11.259 11.259 6.168
angles: 90.00 90.00 90.00
Space group I4/mcm (No. 140)
One atom of each set of equivalent atoms:
Pm  0.083  0.211  0.000 x16
Ho  0.000  0.500  0.250 x4
Ir  0.000  0.000  0.250 x4
Ir  0.151  0.349  0.500 x8